1.
# Sn2SO
Calculated PXRD pattern, a wavelength of 1.5418 Å. Input: DFT lattice parameters and positions (PBE).

Cell and atoms:
```
data_Sn2SO
_chemical_formula_sum 'Sn8 S4 O4'
_space_group_name_H-M_alt 'P 1 2/c 1'
_space_group_IT_number 13
_cell_length_a 6.0135
_cell_length_b 6.2690
_cell_length_c 11.6376
_cell_angle_alpha 90.00
_cell_angle_beta 117.68
_cell_angle_gamma 90.00
loop_
_space_group_symop_operation_xyz
'x,y,z'
'-x,-y,-z'
'-x,y,-z+1/2'
'x,-y,z+1/2'
loop_
_atom_site_label
_atom_site_type_symbol
_atom_site_fract_x
_atom_site_fract_y
_atom_site_fract_z
Sn1 Sn 0.0822 0.2390 0.0848
Sn2 Sn 0.3164 0.1854 0.8514
S1 S 0.4463 0.2129 0.3793
O1 O 0.0034 0.0913 0.6143
```

Largest 6 diffraction maxima, by intensity, 2θ from 5° to 70°:
2θ (°)	intensity	index
27.44	100	1 1 -3
26.30	95	1 1 1
29.77	94	2 0 -2
28.48	74	0 2 0
14.13	49	0 1 0
41.66	48	2 2 -2

***

2.
# TbSnS2O
Calculated PXRD pattern, a wavelength of 1.5418 Å. Input: DFT lattice parameters and positions (PBE).

Cell and atoms:
```
data_TbSnS2O
_chemical_formula_sum 'Tb2 Sn2 S4 O2'
_space_group_name_H-M_alt 'P 4/n m m'
_space_group_IT_number 129
_cell_length_a 3.8166
_cell_length_b 3.8166
_cell_length_c 14.4018
_cell_angle_alpha 90.00
_cell_angle_beta 90.00
_cell_angle_gamma 90.00
loop_
_space_group_symop_operation_xyz
'x,y,z'
'-x,-y,-z'
'-y+1/2,x,z'
'y+1/2,-x,-z'
'-x+1/2,-y+1/2,z'
'x+1/2,y+1/2,-z'
'y,-x+1/2,z'
'-y,x+1/2,-z'
'x+1/2,-y,-z'
'-x+1/2,y,z'
'-y,-x,-z'
'y,x,z'
'-x,y+1/2,-z'
'x,-y+1/2,z'
'y+1/2,x+1/2,-z'
'-y+1/2,-x+1/2,z'
loop_
_atom_site_label
_atom_site_type_symbol
_atom_site_fract_x
_atom_site_fract_y
_atom_site_fract_z
Tb1 Tb 0.2500 0.2500 0.0820
Sn1 Sn 0.2500 0.2500 0.6459
S1 S 0.2500 0.2500 0.3941
S2 S 0.2500 0.2500 0.8150
O1 O 0.2500 0.7500 0.0000
```

Largest 6 diffraction maxima, by intensity, 2θ from 5° to 70°:
2θ (°)	intensity	index
26.43	100	1 0 2
33.20	81	1 1 0
6.14	77	0 0 1
29.91	46	1 0 3
39.18	44	1 0 5
41.83	41	1 1 4

***

3.
# SrS5O
Calculated PXRD pattern, a wavelength of 1.5418 Å. Input: DFT lattice parameters and positions (PBE).

Cell and atoms:
```
data_SrS5O
_chemical_formula_sum 'Sr1 S5 O1'
_space_group_name_H-M_alt 'P 1'
_space_group_IT_number 1
_cell_length_a 4.7799
_cell_length_b 5.0086
_cell_length_c 7.5252
_cell_angle_alpha 76.09
_cell_angle_beta 80.68
_cell_angle_gamma 74.24
loop_
_space_group_symop_operation_xyz
'x,y,z'
loop_
_atom_site_label
_atom_site_type_symbol
_atom_site_fract_x
_atom_site_fract_y
_atom_site_fract_z
Sr1 Sr 0.0000 0.0000 0.0000
S1 S 0.0632 0.5648 0.7502
S2 S 0.3940 0.3832 0.1270
S3 S 0.5735 0.4330 0.3460
S4 S 0.6673 0.8052 0.6867
S5 S 0.8813 0.0839 0.4382
O1 O 0.5470 0.9958 0.8289
```

Largest 6 diffraction maxima, by intensity, 2θ from 5° to 70°:
2θ (°)	intensity	index
24.53	100	0 1 -1
29.55	90	1 1 2
27.73	83	0 1 2
12.18	70	0 0 1
24.03	65	1 0 -1
38.47	58	1 1 -2

***

Copy entry 3 word for word.
# SrS5O
Calculated PXRD pattern, a wavelength of 1.5418 Å. Input: DFT lattice parameters and positions (PBE).

Cell and atoms:
```
data_SrS5O
_chemical_formula_sum 'Sr1 S5 O1'
_space_group_name_H-M_alt 'P 1'
_space_group_IT_number 1
_cell_length_a 4.7799
_cell_length_b 5.0086
_cell_length_c 7.5252
_cell_angle_alpha 76.09
_cell_angle_beta 80.68
_cell_angle_gamma 74.24
loop_
_space_group_symop_operation_xyz
'x,y,z'
loop_
_atom_site_label
_atom_site_type_symbol
_atom_site_fract_x
_atom_site_fract_y
_atom_site_fract_z
Sr1 Sr 0.0000 0.0000 0.0000
S1 S 0.0632 0.5648 0.7502
S2 S 0.3940 0.3832 0.1270
S3 S 0.5735 0.4330 0.3460
S4 S 0.6673 0.8052 0.6867
S5 S 0.8813 0.0839 0.4382
O1 O 0.5470 0.9958 0.8289
```

Largest 6 diffraction maxima, by intensity, 2θ from 5° to 70°:
2θ (°)	intensity	index
24.53	100	0 1 -1
29.55	90	1 1 2
27.73	83	0 1 2
12.18	70	0 0 1
24.03	65	1 0 -1
38.47	58	1 1 -2